Theoretical powder diffractogram of Li4TiMn3O8 for CuKα, from a structure optimized by DFT (GGA+U).

Largest 10 diffraction maxima, sorted by position, 15 to 90 degrees two-theta:
| h k l | d/Å | 2θ (°) | I (rel.) |
| --- | --- | --- | --- |
| 1 0 -1 | 4.894 | 18.1 | 100 |
| 1 2 3 | 2.626 | 34.1 | 16 |
| 1 0 5 | 2.569 | 34.9 | 14 |
| 1 2 -3 | 2.524 | 35.6 | 13 |
| 0 0 6 | 2.457 | 36.6 | 8 |
| 0 2 4 | 2.185 | 41.3 | 30 |
| 2 0 4 | 2.128 | 42.5 | 28 |
| 2 2 -4 | 2.077 | 43.6 | 26 |
| 2 2 8 | 1.530 | 60.5 | 8 |
| 0 2 -8 | 1.486 | 62.5 | 14 |

Structure:
```
data_Li4TiMn3O8
_cell_length_a 5.9488
_cell_length_b 6.0515
_cell_length_c 14.7538
_cell_angle_alpha 87.46
_cell_angle_beta 88.53
_cell_angle_gamma 60.87
_symmetry_space_group_name_H-M 'P 1'
_symmetry_Int_Tables_number 1
_symmetry_space_group_name_Hall 'P 1'
loop_
_atom_site_label
_atom_site_type_symbol
_atom_site_fract_x
_atom_site_fract_y
_atom_site_fract_z
_atom_site_occupancy
Li1 Li 0.0000 0.0000 0.0000 1
Li2 Li 0.0008 0.4991 0.0011 1
Li3 Li 0.1543 0.6732 0.1668 1
Li4 Li 0.1617 0.1726 0.1632 1
Li5 Li 0.3355 0.8338 0.3366 1
Li6 Li 0.3378 0.3223 0.3372 1
Li7 Li 0.5130 0.9824 0.5004 1
Li8 Li 0.5146 0.4770 0.5023 1
Li9 Li 0.6803 0.6582 0.6678 1
Li10 Li 0.6821 0.1483 0.6673 1
Li11 Li 0.8360 0.8330 0.8373 1
Li12 Li 0.8443 0.3298 0.8366 1
Ti1 Ti 0.0202 0.9777 0.5044 1
Ti2 Ti 0.3473 0.3304 0.8285 1
Ti3 Ti 0.6442 0.6783 0.1694 1
Mn1 Mn 0.0104 0.4883 0.5026 1
Mn2 Mn 0.1785 0.1521 0.6674 1
Mn3 Mn 0.1804 0.6500 0.6688 1
Mn4 Mn 0.3521 0.8210 0.8315 1
Mn5 Mn 0.4996 0.0016 0.9990 1
Mn6 Mn 0.5004 0.4994 0.0000 1
Mn7 Mn 0.6490 0.1769 0.1682 1
Mn8 Mn 0.8327 0.8343 0.3349 1
Mn9 Mn 0.8387 0.3294 0.3350 1
O1 O 0.0401 0.4470 0.7482 1
O2 O 0.0534 0.9704 0.7493 1
O3 O 0.1732 0.6613 0.4328 1
O4 O 0.1737 0.1327 0.4214 1
O5 O 0.1894 0.6422 0.8996 1
O6 O 0.1930 0.1671 0.9208 1
O7 O 0.3067 0.3344 0.5861 1
O8 O 0.3209 0.8508 0.5874 1
O9 O 0.3474 0.3329 0.0902 1
O10 O 0.3483 0.8430 0.0842 1
O11 O 0.4885 0.5379 0.2488 1
O12 O 0.4950 0.0032 0.2413 1
O13 O 0.5051 0.9973 0.7601 1
O14 O 0.5127 0.4639 0.7489 1
O15 O 0.6509 0.1603 0.9147 1
O16 O 0.6527 0.6674 0.9098 1
O17 O 0.7034 0.1189 0.4194 1
O18 O 0.7112 0.6526 0.4205 1
O19 O 0.8046 0.8349 0.0782 1
O20 O 0.8099 0.3588 0.1004 1
O21 O 0.8513 0.3103 0.5709 1
O22 O 0.8551 0.8367 0.5867 1
O23 O 0.9526 0.0133 0.2484 1
O24 O 0.9574 0.5539 0.2502 1
```

Theoretical powder diffractogram of Li3TiMn3O8 for CuKα, from a structure optimized by DFT (GGA+U).

Largest 10 diffraction maxima, sorted by position, 15 to 90 degrees two-theta:
| h k l | d/Å | 2θ (°) | I (rel.) |
| --- | --- | --- | --- |
| 0 1 -1 | 4.930 | 18.0 | 100 |
| 0 1 1 | 2.645 | 33.9 | 15 |
| -2 1 1 | 2.563 | 35.0 | 13 |
| 2 1 -1 | 2.505 | 35.8 | 11 |
| 0 0 2 | 2.202 | 41.0 | 26 |
| 2 -2 0 | 2.133 | 42.4 | 23 |
| 2 2 -2 | 2.066 | 43.8 | 21 |
| 2 1 -3 | 1.947 | 46.6 | 7 |
| 2 -2 2 | 1.528 | 60.6 | 7 |
| 4 0 -2 | 1.473 | 63.1 | 8 |

Structure:
```
data_Li3TiMn3O8
_cell_length_a 5.8938
_cell_length_b 5.9853
_cell_length_c 6.0204
_cell_angle_alpha 118.37
_cell_angle_beta 118.24
_cell_angle_gamma 91.84
_symmetry_space_group_name_H-M 'P -1'
_symmetry_Int_Tables_number 2
_symmetry_space_group_name_Hall '-P 1'
loop_
_atom_site_label
_atom_site_type_symbol
_atom_site_fract_x
_atom_site_fract_y
_atom_site_fract_z
_atom_site_occupancy
Li1 Li 0.0000 0.0000 0.0000 1
Li2 Li 0.0000 0.5000 0.5000 1
Li3 Li 0.5000 0.0000 0.0000 1
Ti1 Ti 0.0000 0.0000 0.5000 1
Mn1 Mn 0.0000 0.5000 0.0000 1
Mn2 Mn 0.5000 0.0000 0.5000 1
Mn3 Mn 0.5000 0.5000 0.0000 1
O1 O 0.2211 0.7531 0.4567 1
O2 O 0.2444 0.2057 0.4798 1
O3 O 0.2475 0.7127 0.9885 1
O4 O 0.2509 0.2259 0.9467 1
```

Theoretical powder diffractogram of Li2TiMn2O6 for CuKα, from a structure optimized by DFT (GGA+U).

Largest 10 diffraction maxima, sorted by position, 15 to 90 degrees two-theta:
| h k l | d/Å | 2θ (°) | I (rel.) |
| --- | --- | --- | --- |
| 0 0 2 | 5.128 | 17.3 | 100 |
| 0 2 0 | 2.726 | 32.9 | 12 |
| 3 1 1 | 2.488 | 36.1 | 23 |
| 0 2 2 | 2.407 | 37.4 | 21 |
| 3 1 2 | 2.294 | 39.3 | 7 |
| 3 1 3 | 2.052 | 44.1 | 35 |
| 0 2 4 | 1.868 | 48.8 | 10 |
| 3 1 5 | 1.602 | 57.5 | 19 |
| 3 3 1 | 1.524 | 60.8 | 16 |
| 3 1 7 | 1.272 | 74.6 | 5 |

Structure:
```
data_Li2TiMn2O6
_cell_length_a 8.7209
_cell_length_b 5.4510
_cell_length_c 10.2560
_cell_angle_alpha 90.00
_cell_angle_beta 90.00
_cell_angle_gamma 90.00
_symmetry_space_group_name_H-M 'C m c e'
_symmetry_Int_Tables_number 64
_symmetry_space_group_name_Hall '-C 2ac 2'
loop_
_atom_site_label
_atom_site_type_symbol
_atom_site_fract_x
_atom_site_fract_y
_atom_site_fract_z
_atom_site_occupancy
Li1 Li 0.2500 0.1518 0.2500 1
Ti1 Ti 0.0000 0.0000 0.0000 1
Mn1 Mn 0.1648 0.0000 0.5000 1
O1 O 0.0000 0.1726 0.5902 1
O2 O 0.1709 0.1223 0.8890 1
```

Theoretical powder diffractogram of Li2Ti2Mn5O12 for CuKα, from a structure optimized by DFT (GGA+U).

Largest 10 diffraction maxima, sorted by position, 15 to 90 degrees two-theta:
| h k l | d/Å | 2θ (°) | I (rel.) |
| --- | --- | --- | --- |
| 0 0 2 | 5.108 | 17.4 | 71 |
| 0 2 0 | 4.557 | 19.5 | 22 |
| 1 1 -1 | 4.316 | 20.6 | 23 |
| 1 1 1 | 3.764 | 23.6 | 32 |
| 0 2 2 | 3.401 | 26.2 | 19 |
| 2 0 -2 | 2.449 | 36.7 | 26 |
| 1 3 -3 | 2.183 | 41.4 | 100 |
| 2 0 2 | 2.066 | 43.8 | 44 |
| 1 3 5 | 1.524 | 60.8 | 23 |
| 3 3 -1 | 1.479 | 62.8 | 24 |

Structure:
```
data_Li2Ti2Mn5O12
_cell_length_a 5.0864
_cell_length_b 9.1145
_cell_length_c 10.4590
_cell_angle_alpha 90.00
_cell_angle_beta 102.38
_cell_angle_gamma 90.00
_symmetry_space_group_name_H-M 'P 1 21 1'
_symmetry_Int_Tables_number 4
_symmetry_space_group_name_Hall 'P 2yb'
loop_
_atom_site_label
_atom_site_type_symbol
_atom_site_fract_x
_atom_site_fract_y
_atom_site_fract_z
_atom_site_occupancy
Li1 Li 0.0060 0.0000 0.2277 1
Li2 Li 0.2444 0.6572 0.0004 1
Ti1 Ti 0.2558 0.8243 0.5026 1
Ti2 Ti 0.2602 0.3299 0.0101 1
Mn1 Mn 0.0048 0.8421 0.7577 1
Mn2 Mn 0.2540 0.1572 0.4944 1
Mn3 Mn 0.2539 0.4927 0.5158 1
Mn4 Mn 0.2571 0.0047 0.0049 1
Mn5 Mn 0.5002 0.2989 0.7664 1
O1 O 0.1007 0.4842 0.1034 1
O2 O 0.1016 0.6822 0.6136 1
O3 O 0.1149 0.9910 0.5906 1
O4 O 0.1265 0.3362 0.6146 1
O5 O 0.1277 0.8528 0.1082 1
O6 O 0.1369 0.1678 0.1091 1
O7 O 0.3637 0.1692 0.9062 1
O8 O 0.3753 0.8564 0.8945 1
O9 O 0.3749 0.9642 0.3852 1
O10 O 0.3759 0.6538 0.4084 1
O11 O 0.3773 0.4751 0.8896 1
O12 O 0.3822 0.3167 0.3952 1
```

Theoretical powder diffractogram of LiUMnO5 for CuKα, from a structure optimized by DFT (GGA+U).

Largest 10 diffraction maxima, sorted by position, 15 to 90 degrees two-theta:
| h k l | d/Å | 2θ (°) | I (rel.) |
| --- | --- | --- | --- |
| 0 2 0 | 5.137 | 17.3 | 100 |
| 1 1 0 | 4.990 | 17.8 | 70 |
| 1 1 -2 | 3.475 | 25.6 | 84 |
| 0 2 2 | 2.972 | 30.1 | 25 |
| 1 3 0 | 2.937 | 30.4 | 23 |
| 2 0 0 | 2.854 | 31.3 | 20 |
| 1 1 2 | 2.598 | 34.5 | 21 |
| 1 3 -2 | 2.511 | 35.8 | 22 |
| 2 2 0 | 2.495 | 36.0 | 32 |
| 1 3 2 | 2.113 | 42.8 | 19 |

Structure:
```
data_LiUMnO5
_cell_length_a 6.0694
_cell_length_b 10.2733
_cell_length_c 7.7488
_cell_angle_alpha 90.00
_cell_angle_beta 109.87
_cell_angle_gamma 90.00
_symmetry_space_group_name_H-M 'C 1 2/c 1'
_symmetry_Int_Tables_number 15
_symmetry_space_group_name_Hall '-C 2yc'
loop_
_atom_site_label
_atom_site_type_symbol
_atom_site_fract_x
_atom_site_fract_y
_atom_site_fract_z
_atom_site_occupancy
Li1 Li 0.0000 0.2229 0.2500 1
U1 U 0.0000 0.5000 0.0000 1
Mn1 Mn 0.0000 0.0563 0.7500 1
O1 O 0.0000 0.4215 0.7500 1
O2 O 0.1596 0.0771 0.4232 1
O3 O 0.1998 0.3501 0.1557 1
```

Theoretical powder diffractogram of LiUMn2O6 for CuKα, from a structure optimized by DFT (GGA+U).

Largest 10 diffraction maxima, sorted by position, 15 to 90 degrees two-theta:
| h k l | d/Å | 2θ (°) | I (rel.) |
| --- | --- | --- | --- |
| 0 0 1 | 4.944 | 17.9 | 100 |
| 1 0 0 | 4.584 | 19.4 | 59 |
| 0 1 1 | 4.468 | 19.9 | 62 |
| 1 1 0 | 4.353 | 20.4 | 64 |
| 1 0 1 | 3.055 | 29.2 | 41 |
| 1 1 -1 | 2.836 | 31.6 | 31 |
| -1 1 1 | 2.748 | 32.6 | 34 |
| 1 2 1 | 2.713 | 33.0 | 32 |
| 2 1 0 | 2.651 | 33.8 | 32 |
| 1 -1 0 | 2.505 | 35.9 | 31 |

Structure:
```
data_LiUMn2O6
_cell_length_a 5.3206
_cell_length_b 5.4323
_cell_length_c 5.7345
_cell_angle_alpha 61.89
_cell_angle_beta 86.64
_cell_angle_gamma 61.80
_symmetry_space_group_name_H-M 'P 1'
_symmetry_Int_Tables_number 1
_symmetry_space_group_name_Hall 'P 1'
loop_
_atom_site_label
_atom_site_type_symbol
_atom_site_fract_x
_atom_site_fract_y
_atom_site_fract_z
_atom_site_occupancy
Li1 Li 0.0000 0.0000 0.0000 1
U1 U 0.4465 0.0834 0.4166 1
Mn1 Mn 0.2103 0.5012 0.7971 1
Mn2 Mn 0.7617 0.4612 0.3565 1
O1 O 0.0511 0.5434 0.1523 1
O2 O 0.1757 0.9559 0.6473 1
O3 O 0.3715 0.9696 0.1455 1
O4 O 0.5340 0.2913 0.6091 1
O5 O 0.6772 0.2779 0.1653 1
O6 O 0.8313 0.6048 0.5930 1
```

Theoretical powder diffractogram of Li2MnV3O8 for CuKα, from a structure optimized by DFT (GGA+U).

Largest 10 diffraction maxima, sorted by position, 15 to 90 degrees two-theta:
| h k l | d/Å | 2θ (°) | I (rel.) |
| --- | --- | --- | --- |
| 0 0 6 | 4.945 | 17.9 | 100 |
| 0 1 2 | 4.882 | 18.2 | 22 |
| 1 0 4 | 4.241 | 20.9 | 48 |
| 0 1 8 | 3.013 | 29.6 | 48 |
| 1 1 6 | 2.555 | 35.1 | 55 |
| 2 0 2 | 2.546 | 35.2 | 83 |
| 2 0 8 | 2.121 | 42.6 | 62 |
| 2 0 14 | 1.639 | 56.1 | 34 |
| 0 2 16 | 1.507 | 61.5 | 39 |
| 2 2 0 | 1.492 | 62.2 | 41 |

Structure:
```
data_Li2MnV3O8
_cell_length_a 5.9693
_cell_length_b 5.9693
_cell_length_c 29.6693
_cell_angle_alpha 90.00
_cell_angle_beta 90.00
_cell_angle_gamma 120.00
_symmetry_space_group_name_H-M 'R 3 c'
_symmetry_Int_Tables_number 161
_symmetry_space_group_name_Hall 'R 3 -2"c'
loop_
_atom_site_label
_atom_site_type_symbol
_atom_site_fract_x
_atom_site_fract_y
_atom_site_fract_z
_atom_site_occupancy
Li1 Li 0.0000 0.0000 0.0000 1
Li2 Li 0.0000 0.0000 0.1904 1
Mn1 Mn 0.0000 0.0000 0.3791 1
V1 V 0.1619 0.3391 0.2735 1
O1 O 0.0000 0.0000 0.0693 1
O2 O 0.0000 0.0000 0.3093 1
O3 O 0.0285 0.4997 0.3080 1
O4 O 0.1695 0.3656 0.4046 1
```